[1]
This entry pairs a crystal structure of Mn12O5F19 with its simulated powder diffraction line list. Radiation: Cu Kα (weighted mean of Kα1 and Kα2). Structure: a DFT-relaxed cell (GGA+U, the Materials Project).
Intensities are scaled so that the largest is 1000.

Peak list (10 most intense, 10 to 80 degrees two-theta, most intense first)
2theta  I_rel
29.5  1000
28.8  557
28.7  555
23.3  514
50.6  477
50.8  446
24.2  446
52.7  336
61.3  241
61.1  234

Structural model:
```
Mn12O5F19
1.0
4.8913 0.0000 0.0000
0.2319 5.8456 0.0000
0.0594 0.0608 15.9477
Mn O F
12 5 19
Cartesian
0.0000 0.0000 0.0000
0.0412 0.0683 10.6208
0.0896 1.8665 2.5094
0.3774 5.7208 5.2193
0.2799 2.0122 7.8130
2.5133 2.9637 5.3225
2.6585 4.7201 2.7178
2.7001 4.7352 7.9326
2.7753 4.7075 13.2925
2.7156 2.7943 10.6668
2.8370 2.8542 15.8432
4.9511 1.8905 13.2294
1.6304 4.4087 4.4016
1.6544 3.2592 7.0055
3.7469 3.1100 14.1540
3.9480 1.5791 0.7801
4.0051 1.5852 11.5874
1.2441 1.6224 14.8680
1.2361 1.5130 4.2823
1.2119 0.1881 1.6940
1.2549 0.3124 12.4568
1.2484 0.3293 7.0098
1.3245 1.5262 9.6709
1.5144 3.2407 12.3540
1.5778 4.4775 9.7748
1.6318 4.4926 15.1566
1.6395 3.0634 1.6037
3.7196 3.0864 3.6409
3.8554 4.5073 11.4644
3.8335 4.4834 0.9969
3.8528 3.1946 8.8958
3.9491 4.5079 6.2346
3.8559 1.5981 6.0656
3.8520 0.2704 8.7648
3.8828 0.1780 14.1923
3.8689 0.2150 3.4733
```

[2]
This entry pairs a crystal structure of Mn3O4F2 with its simulated powder diffraction line list. Radiation: Cu Kα (weighted mean of Kα1 and Kα2). Structure: a DFT-relaxed cell (GGA+U, the Materials Project).
Intensities are scaled so that the largest is 1000.

Peak list (10 most intense, 10 to 80 degrees two-theta, most intense first)
2theta  I_rel
27.4  1000
35.0  557
53.5  301
53.4  299
40.2  192
56.5  171
67.1  122
60.0  106
68.4  105
67.9  99

Structural model:
```
Mn3O4F2
1.0
9.2554 0.0000 0.0000
0.0000 4.6283 0.0000
0.0000 0.0000 4.5920
Mn O F
6 8 4
Cartesian
0.0000 1.1450 0.0000
1.4824 3.6045 2.1628
3.1453 1.0238 4.4588
4.6277 3.4833 2.2960
6.1100 1.0238 4.4588
7.7730 3.6045 2.1628
0.0000 2.6503 1.3049
0.0000 4.4649 3.1023
1.5958 0.2835 0.7685
3.0319 4.3448 3.0645
4.6277 0.1634 0.8062
4.6277 1.9780 3.6010
6.2234 4.3448 3.0645
7.6596 0.2835 0.7685
1.5771 2.1035 3.5582
3.0506 2.5248 1.2622
6.2048 2.5248 1.2622
7.6782 2.1035 3.5582
```

[3]
This entry pairs a crystal structure of Mn5O3F5 with its simulated powder diffraction line list. Radiation: Cu Kα (weighted mean of Kα1 and Kα2). Structure: a DFT-relaxed cell (GGA+U, the Materials Project).
Intensities are scaled so that the largest is 1000.

Peak list (10 most intense, 10 to 80 degrees two-theta, most intense first)
2theta  I_rel
32.6  1000
16.9  976
39.5  769
17.1  696
33.0  433
40.3  381
57.5  368
57.9  286
34.2  271
32.8  264

Structural model:
```
Mn5O3F5
1.0
5.4898 -3.2349 0.0000
5.4898 3.2349 0.0000
-3.5542 0.0000 10.4919
Mn O F
10 6 10
Cartesian
-0.9325 1.5211 10.4114
3.7127 3.2214 5.2460
4.5727 1.6609 2.6744
4.2540 1.5881 8.4395
0.8446 -1.5211 5.1654
3.7932 0.0307 5.2987
5.5702 -0.0307 0.0527
2.7956 -1.6609 7.9203
6.0311 -1.5881 3.1935
5.4898 -3.2214 0.0000
-1.9249 0.0987 9.1945
-0.1478 -0.0987 3.9485
4.4468 1.5065 6.3331
5.2325 0.1613 4.0533
3.4554 -0.1613 9.2993
6.2239 -1.5065 1.0872
2.6514 1.6911 3.8865
1.1047 1.4151 9.4933
6.2051 1.6243 1.2617
3.9070 0.1428 1.1553
2.1299 -0.1428 6.4013
2.8818 -1.4151 4.2473
0.8743 -1.6911 9.1325
7.4314 0.3170 6.3909
4.4280 -1.6243 6.5076
9.2085 -0.3170 1.1449
```

[4]
This entry pairs a crystal structure of Mn3O5F with its simulated powder diffraction line list. Radiation: Cu Kα (weighted mean of Kα1 and Kα2). Structure: a DFT-relaxed cell (GGA+U, the Materials Project).
Intensities are scaled so that the largest is 1000.

Peak list (10 most intense, 10 to 80 degrees two-theta, most intense first)
2theta  I_rel
35.8  1000
28.3  914
27.2  911
55.1  529
69.5  366
53.9  278
53.9  273
61.7  165
39.7  159
41.5  154

Structural model:
```
Mn3O5F
1.0
4.5473 0.0000 0.0000
0.0000 3.0071 0.0000
-0.5128 0.0000 13.6371
Mn O F
6 10 2
Cartesian
0.0000 0.0000 0.0000
-0.2495 0.0000 8.9987
1.7497 1.5035 11.4508
2.0172 1.5035 6.8186
2.2847 1.5035 2.1863
4.2840 0.0000 4.6384
0.8486 1.5035 0.9000
0.6816 1.5035 5.4166
0.5150 1.5035 9.9717
0.9031 0.0000 12.2690
1.1188 0.0000 7.6893
2.9157 0.0000 5.9478
3.1313 0.0000 1.3682
3.5194 1.5035 3.6654
3.3529 1.5035 8.2205
3.1858 1.5035 12.7371
1.2520 0.0000 3.1737
2.7824 0.0000 10.4635
```

[5]
This entry pairs a crystal structure of Mn8O13F3 with its simulated powder diffraction line list. Radiation: Cu Kα (weighted mean of Kα1 and Kα2). Structure: a DFT-relaxed cell (GGA+U, the Materials Project).
Intensities are scaled so that the largest is 1000.

Peak list (10 most intense, 10 to 80 degrees two-theta, most intense first)
2theta  I_rel
31.5  1000
25.4  600
25.8  555
31.3  504
31.1  497
37.3  435
55.0  246
55.3  235
36.1  223
55.4  200

Structural model:
```
Mn8O13F3
1.0
4.9811 0.0000 0.0000
-0.0127 7.0481 0.0000
-0.0396 -1.4627 7.0141
Mn O F
8 13 3
Cartesian
0.0000 0.0000 0.0000
-0.0148 2.6984 3.5861
2.3445 2.1990 1.0098
2.3841 1.3605 4.6593
2.4526 4.8896 4.6458
2.5655 5.7356 1.0322
4.8392 3.3553 0.0467
4.8490 6.2256 3.5757
0.7420 2.9686 1.7555
0.7695 0.9178 3.6301
0.7939 5.7338 5.2243
1.4436 1.1263 6.4121
1.5821 3.1571 4.4661
1.6350 0.3905 0.9667
3.2498 3.9288 0.9728
3.2613 -0.3680 4.4458
3.3341 4.6896 6.3926
3.9740 1.7113 0.1129
4.0311 2.2308 5.2566
4.0634 4.4423 3.6216
4.1341 6.4867 1.7546
0.8532 5.1077 0.1090
1.5474 5.4256 2.7602
3.2901 1.9081 2.7688
```

[6]
This entry pairs a crystal structure of Mn8O13F3 with its simulated powder diffraction line list. Radiation: Cu Kα (weighted mean of Kα1 and Kα2). Structure: a DFT-relaxed cell (GGA+U, the Materials Project).
Intensities are scaled so that the largest is 1000.

Peak list (10 most intense, 10 to 80 degrees two-theta, most intense first)
2theta  I_rel
31.2  1000
31.4  986
25.4  575
25.7  558
37.2  452
56.1  363
65.4  298
54.9  242
55.0  237
35.9  209

Structural model:
```
Mn8O13F3
1.0
4.9975 0.0000 0.0000
-0.0086 7.0895 0.0000
-0.0181 -1.4473 6.9998
Mn O F
8 13 3
Cartesian
0.0000 0.0000 0.0000
4.9929 3.4673 0.0456
0.0113 -0.6838 3.5523
2.2440 4.0432 2.5568
2.4092 0.6081 2.4161
2.4832 -0.2145 5.9783
2.5566 3.3782 6.0708
4.8207 2.7744 3.5756
0.6836 4.5906 3.4149
0.8186 -0.3001 1.7916
0.8693 0.2699 6.9287
1.4367 2.3512 2.5699
1.6014 0.0795 4.2044
1.6061 4.3423 0.7299
1.6327 5.1211 6.0718
3.2059 3.6330 4.2307
3.3715 0.8151 0.6698
3.3593 1.5924 6.0332
4.0421 0.9944 3.3953
4.1333 -1.0083 5.2899
4.1492 3.8576 6.9223
0.9661 2.5801 5.2752
3.3107 5.7562 2.5870
3.8609 3.2766 1.7685
```

[7]
This entry pairs a crystal structure of Mn3O5F with its simulated powder diffraction line list. Radiation: Cu Kα (weighted mean of Kα1 and Kα2). Structure: a DFT-relaxed cell (GGA+U, the Materials Project).
Intensities are scaled so that the largest is 1000.

Peak list (10 most intense, 10 to 80 degrees two-theta, most intense first)
2theta  I_rel
35.8  1000
27.3  925
28.3  917
53.9  561
55.1  530
69.5  375
39.7  164
61.7  162
40.8  160
56.3  156

Structural model:
```
Mn3O5F
1.0
9.0240 0.0000 0.0000
0.0000 3.1560 3.2706
0.0000 -3.1560 3.2706
Mn O F
6 10 2
Cartesian
0.0000 0.0000 0.0000
1.4410 0.0000 3.2674
2.9986 0.0000 0.1543
4.5120 0.0000 3.2082
6.0254 0.0000 0.1543
7.5831 0.0000 3.2674
0.0000 0.0000 2.0261
0.0000 0.0000 4.5619
1.5020 -1.9277 3.3129
1.5020 1.9277 3.3129
2.9612 0.0000 2.0412
4.5120 -1.9275 3.3276
4.5120 1.9275 3.3276
6.0628 0.0000 2.0412
7.5220 -1.9277 3.3129
7.5220 1.9277 3.3129
2.9833 0.0000 4.6159
6.0408 0.0000 4.6159
```

[8]
This entry pairs a crystal structure of Mn3O5F with its simulated powder diffraction line list. Radiation: Cu Kα (weighted mean of Kα1 and Kα2). Structure: a DFT-relaxed cell (GGA+U, the Materials Project).
Intensities are scaled so that the largest is 1000.

Peak list (10 most intense, 10 to 80 degrees two-theta, most intense first)
2theta  I_rel
27.7  1000
35.8  402
54.4  296
54.5  292
57.3  164
69.4  152
35.9  131
39.6  90
64.8  88
61.8  87

Structural model:
```
Mn3O5F
1.0
5.4589 0.0000 0.0000
0.0000 4.5504 0.0000
-0.4737 0.0000 7.5074
Mn O F
6 10 2
Cartesian
0.2465 0.0000 2.5213
0.8961 2.4280 7.4284
1.9240 0.1513 4.9827
3.0612 2.4265 2.5247
4.0891 0.1528 0.0791
4.7388 2.2752 4.9861
0.1951 3.7542 0.7653
0.3867 0.9734 4.1971
0.7987 3.2527 5.7413
1.8496 3.7708 3.2670
2.0503 0.9821 6.7521
2.9349 3.2573 0.7553
3.1356 1.4956 4.2405
4.1865 0.9775 1.7661
4.5985 3.2486 3.3103
4.7901 1.4790 6.7421
1.4247 1.4746 1.7268
3.5606 3.7497 5.7806
```